Theoretical powder X-ray diffraction pattern of CsMg14Fe for λ = 1.5418 Å (Cu Kα), from a DFT-relaxed cell (GGA-PBE, the Materials Project).
No peak broadening, texture or thermal motion is included.

Principal peaks in the range 2θ from 15° to 90°, low angle first:
- 2θ = 16.69°, rel. 21
- 2θ = 17.45°, rel. 28
- 2θ = 28.35°, rel. 21
- 2θ = 29.91°, rel. 18
- 2θ = 32.19°, rel. 46
- 2θ = 33.74°, rel. 48
- 2θ = 35.33°, rel. 63
- 2θ = 36.47°, rel. 100
- 2θ = 47.33°, rel. 28
- 2θ = 62.14°, rel. 19

```
data_CsMg14Fe
_symmetry_space_group_name_H-M 'A m m 2'
_symmetry_Int_Tables_number 38
_cell_length_a 10.6246
_cell_length_b 6.3429
_cell_length_c 11.5708
_cell_angle_alpha 90.00
_cell_angle_beta 90.00
_cell_angle_gamma 90.00
loop_
_symmetry_equiv_pos_as_xyz
'x,y,z'
'-x,-y,z'
'-x,y,z'
'x,-y,z'
'x,y+1/2,z+1/2'
'-x,-y+1/2,z+1/2'
'-x,y+1/2,z+1/2'
'x,-y+1/2,z+1/2'
loop_
_atom_site_label
_atom_site_type_symbol
_atom_site_fract_x
_atom_site_fract_y
_atom_site_fract_z
Cs1 Cs 0.0000 0.0000 0.0000
Mg1 Mg 0.0000 0.2493 0.2439
Mg2 Mg 0.2197 0.0000 0.6100
Mg3 Mg 0.2529 0.2382 0.3704
Mg4 Mg 0.2817 0.0000 0.1302
Mg5 Mg 0.5000 0.0000 0.4607
Mg6 Mg 0.5000 0.0000 0.9553
Mg7 Mg 0.5000 0.2420 0.7130
Fe1 Fe 0.0000 0.0000 0.4267
```


Theoretical powder X-ray diffraction pattern of CsFeN for λ = 1.5418 Å (Cu Kα), from a DFT-relaxed cell (GGA-PBE, the Materials Project).
No peak broadening, texture or thermal motion is included.

Principal peaks in the range 2θ from 15° to 90°, low angle first:
- 2θ = 25.45°, rel. 27
- 2θ = 26.72°, rel. 36
- 2θ = 27.39°, rel. 100
- 2θ = 29.24°, rel. 59
- 2θ = 29.83°, rel. 45
- 2θ = 36.89°, rel. 24
- 2θ = 49.53°, rel. 25
- 2θ = 50.33°, rel. 22
- 2θ = 51.25°, rel. 27
- 2θ = 59.05°, rel. 21

```
data_CsFeN
_symmetry_space_group_name_H-M 'P n m a'
_symmetry_Int_Tables_number 62
_cell_length_a 11.0378
_cell_length_b 3.5669
_cell_length_c 6.9990
_cell_angle_alpha 90.00
_cell_angle_beta 90.00
_cell_angle_gamma 90.00
loop_
_symmetry_equiv_pos_as_xyz
'x,y,z'
'-x,-y,-z'
'-x+1/2,-y,z+1/2'
'x+1/2,y,-z+1/2'
'x+1/2,-y+1/2,-z+1/2'
'-x+1/2,y+1/2,z+1/2'
'-x,y+1/2,-z'
'x,-y+1/2,z'
loop_
_atom_site_label
_atom_site_type_symbol
_atom_site_fract_x
_atom_site_fract_y
_atom_site_fract_z
Cs1 Cs 0.1703 0.2500 0.0625
Fe1 Fe 0.0327 0.2500 0.5946
N1 N 0.0473 0.7500 0.6382
```


Theoretical powder X-ray diffraction pattern of CsFe2P2 for λ = 1.5418 Å (Cu Kα), from a DFT-relaxed cell (GGA-PBE, the Materials Project).
No peak broadening, texture or thermal motion is included.

Principal peaks in the range 2θ from 15° to 90°, low angle first:
- 2θ = 24.01°, rel. 48
- 2θ = 24.91°, rel. 58
- 2θ = 29.89°, rel. 100
- 2θ = 35.38°, rel. 78
- 2θ = 47.38°, rel. 35
- 2θ = 51.01°, rel. 60
- 2θ = 54.26°, rel. 26
- 2θ = 57.03°, rel. 30
- 2θ = 75.09°, rel. 11
- 2θ = 80.23°, rel. 13

```
data_CsFe2P2
_symmetry_space_group_name_H-M 'I 4/m m m'
_symmetry_Int_Tables_number 139
_symmetry_space_group_name_Hall '-I 4 2'
_cell_length_a 3.8377
_cell_length_b 3.8377
_cell_length_c 14.3000
_cell_angle_alpha 90.00
_cell_angle_beta 90.00
_cell_angle_gamma 90.00
loop_
_atom_site_label
_atom_site_type_symbol
_atom_site_fract_x
_atom_site_fract_y
_atom_site_fract_z
Cs1 Cs 0.0000 0.0000 0.0000
Fe1 Fe 0.0000 0.5000 0.2500
P1 P 0.0000 0.0000 0.3245
```


Theoretical powder X-ray diffraction pattern of CsFe2S3 for λ = 1.5418 Å (Cu Kα), from a DFT-relaxed cell (GGA-PBE, the Materials Project).
No peak broadening, texture or thermal motion is included.

Principal peaks in the range 2θ from 15° to 90°, low angle first:
- 2θ = 20.91°, rel. 48
- 2θ = 23.97°, rel. 21
- 2θ = 24.22°, rel. 80
- 2θ = 29.26°, rel. 18
- 2θ = 29.60°, rel. 100
- 2θ = 34.63°, rel. 21
- 2θ = 36.75°, rel. 18
- 2θ = 46.38°, rel. 19
- 2θ = 51.04°, rel. 27
- 2θ = 52.35°, rel. 36

```
data_CsFe2S3
_symmetry_space_group_name_H-M 'C m c m'
_symmetry_Int_Tables_number 63
_symmetry_space_group_name_Hall '-C 2c 2'
_cell_length_a 9.4713
_cell_length_b 11.9638
_cell_length_c 5.1795
_cell_angle_alpha 90.00
_cell_angle_beta 90.00
_cell_angle_gamma 90.00
loop_
_atom_site_label
_atom_site_type_symbol
_atom_site_fract_x
_atom_site_fract_y
_atom_site_fract_z
Cs1 Cs 0.0000 0.1736 0.2500
Fe1 Fe 0.1344 0.5000 0.0000
S1 S 0.0000 0.3987 0.7500
S2 S 0.2398 0.0991 0.7500
```


Theoretical powder X-ray diffraction pattern of Cs3FeS3 for λ = 1.5418 Å (Cu Kα), from a DFT-relaxed cell (GGA-PBE, the Materials Project).
No peak broadening, texture or thermal motion is included.

Principal peaks in the range 2θ from 15° to 90°, low angle first:
- 2θ = 22.41°, rel. 87
- 2θ = 23.40°, rel. 51
- 2θ = 26.24°, rel. 100
- 2θ = 26.78°, rel. 32
- 2θ = 27.75°, rel. 43
- 2θ = 27.89°, rel. 22
- 2θ = 30.82°, rel. 45
- 2θ = 30.89°, rel. 27
- 2θ = 38.59°, rel. 27
- 2θ = 42.00°, rel. 21

```
data_Cs3FeS3
_symmetry_space_group_name_H-M 'C m c e'
_symmetry_Int_Tables_number 64
_symmetry_space_group_name_Hall '-C 2ac 2'
_cell_length_a 19.2882
_cell_length_b 7.5381
_cell_length_c 13.5626
_cell_angle_alpha 90.00
_cell_angle_beta 90.00
_cell_angle_gamma 90.00
loop_
_atom_site_label
_atom_site_type_symbol
_atom_site_fract_x
_atom_site_fract_y
_atom_site_fract_z
Cs1 Cs 0.0000 0.1250 0.1844
Cs2 Cs 0.1770 0.1554 0.8748
Fe1 Fe 0.0737 0.0000 0.5000
S1 S 0.0000 0.2101 0.4393
S2 S 0.1406 0.1261 0.6174
```


Theoretical powder X-ray diffraction pattern of CsFe2Se3 for λ = 1.5418 Å (Cu Kα), from a DFT-relaxed cell (GGA-PBE, the Materials Project).
No peak broadening, texture or thermal motion is included.

Principal peaks in the range 2θ from 15° to 90°, low angle first:
- 2θ = 23.08°, rel. 7
- 2θ = 23.39°, rel. 18
- 2θ = 28.33°, rel. 100
- 2θ = 32.75°, rel. 9
- 2θ = 33.29°, rel. 9
- 2θ = 44.22°, rel. 20
- 2θ = 47.17°, rel. 16
- 2θ = 49.82°, rel. 19
- 2θ = 55.79°, rel. 15
- 2θ = 60.75°, rel. 10

```
data_CsFe2Se3
_symmetry_space_group_name_H-M 'C m c m'
_symmetry_Int_Tables_number 63
_symmetry_space_group_name_Hall '-C 2c 2'
_cell_length_a 9.8561
_cell_length_b 12.3673
_cell_length_c 5.4688
_cell_angle_alpha 90.00
_cell_angle_beta 90.00
_cell_angle_gamma 90.00
loop_
_atom_site_label
_atom_site_type_symbol
_atom_site_fract_x
_atom_site_fract_y
_atom_site_fract_z
Cs1 Cs 0.0000 0.1646 0.2500
Fe1 Fe 0.1284 0.5000 0.0000
Se1 Se 0.0000 0.3736 0.7500
Se2 Se 0.2343 0.1071 0.7500
```


Theoretical powder X-ray diffraction pattern of Cs3FeSe3 for λ = 1.5418 Å (Cu Kα), from a DFT-relaxed cell (GGA-PBE, the Materials Project).
No peak broadening, texture or thermal motion is included.

Principal peaks in the range 2θ from 15° to 90°, low angle first:
- 2θ = 22.78°, rel. 41
- 2θ = 25.44°, rel. 44
- 2θ = 25.61°, rel. 42
- 2θ = 25.83°, rel. 100
- 2θ = 26.25°, rel. 85
- 2θ = 26.93°, rel. 39
- 2θ = 30.04°, rel. 74
- 2θ = 30.34°, rel. 54
- 2θ = 31.03°, rel. 44
- 2θ = 36.88°, rel. 42

```
data_Cs3FeSe3
_symmetry_space_group_name_H-M 'C m c e'
_symmetry_Int_Tables_number 64
_symmetry_space_group_name_Hall '-C 2ac 2'
_cell_length_a 20.3724
_cell_length_b 7.5959
_cell_length_c 14.0029
_cell_angle_alpha 90.00
_cell_angle_beta 90.00
_cell_angle_gamma 90.00
loop_
_atom_site_label
_atom_site_type_symbol
_atom_site_fract_x
_atom_site_fract_y
_atom_site_fract_z
Cs1 Cs 0.0000 0.1240 0.1906
Cs2 Cs 0.1769 0.1443 0.8766
Fe1 Fe 0.0775 0.0000 0.5000
Se1 Se 0.0000 0.2259 0.4406
Se2 Se 0.1437 0.1284 0.6231
```